No. 1
Diffraction record for LiCe2Si2Rh5. The PXRD pattern is calculated, not measured: it uses DFT lattice parameters and positions (GGA-PBE) and CuKα.
Peak positions follow from Bragg's law for the DFT cell and can differ from measured ones.

Structural model:
abc: 9.849 9.849 3.508
angles: 90.00 90.00 90.00
Element x y z (fractional)
1 Li 0.000 0.000 0.000
2 Li 0.500 0.500 0.000
3 Ce 0.176 0.324 0.000
4 Ce 0.324 0.824 0.000
5 Ce 0.676 0.176 0.000
6 Ce 0.824 0.676 0.000
7 Si 0.124 0.624 0.000
8 Si 0.376 0.124 0.000
9 Si 0.624 0.876 0.000
10 Si 0.876 0.376 0.000
11 Rh 0.000 0.500 0.500
12 Rh 0.069 0.784 0.500
13 Rh 0.216 0.069 0.500
14 Rh 0.284 0.569 0.500
15 Rh 0.431 0.284 0.500
16 Rh 0.500 0.000 0.500
17 Rh 0.569 0.716 0.500
18 Rh 0.716 0.431 0.500
19 Rh 0.784 0.931 0.500
20 Rh 0.931 0.216 0.500

Peak list (10 most intense, 2θ from 15° to 90°, most intense first)
- d = 2.389 Å, 2θ = 37.66°, rel. 100
- d = 2.329 Å, 2θ = 38.66°, rel. 95
- d = 2.744 Å, 2θ = 32.63°, rel. 90
- d = 2.155 Å, 2θ = 41.92°, rel. 49
- d = 2.321 Å, 2θ = 38.79°, rel. 38
- d = 1.414 Å, 2θ = 66.09°, rel. 38
- d = 1.754 Å, 2θ = 52.15°, rel. 28
- d = 2.857 Å, 2θ = 31.31°, rel. 28
- d = 2.015 Å, 2θ = 44.98°, rel. 27
- d = 2.471 Å, 2θ = 36.35°, rel. 26

No. 2
Diffraction record for LiGaIr2. The PXRD pattern is calculated, not measured: it uses DFT lattice parameters and positions (GGA-PBE) and CuKα.
Peak positions follow from Bragg's law for the DFT cell and can differ from measured ones.

Structural model:
abc: 4.742 4.742 5.369
angles: 90.00 90.00 112.08
Element x y z (fractional)
1 Li 0.000 0.000 0.250
2 Li 0.000 0.000 0.750
3 Ga 0.000 0.500 0.000
4 Ga 0.500 0.000 0.500
5 Ir 0.000 0.500 0.500
6 Ir 0.500 0.000 0.000
7 Ir 0.500 0.500 0.250
8 Ir 0.500 0.500 0.750

Peak list (10 most intense, 2θ from 15° to 90°, most intense first)
- d = 2.217 Å, 2θ = 40.69°, rel. 100
- d = 2.197 Å, 2θ = 41.08°, rel. 97
- d = 4.394 Å, 2θ = 20.21°, rel. 95
- d = 1.885 Å, 2θ = 48.27°, rel. 61
- d = 1.361 Å, 2θ = 69.01°, rel. 42
- d = 3.400 Å, 2θ = 26.21°, rel. 40
- d = 2.291 Å, 2θ = 39.33°, rel. 36
- d = 1.967 Å, 2θ = 46.16°, rel. 35
- d = 1.145 Å, 2θ = 84.61°, rel. 25
- d = 1.137 Å, 2θ = 85.38°, rel. 24

No. 3
Diffraction record for Rb2RuI2Cl4. The PXRD pattern is calculated, not measured: it uses DFT lattice parameters and positions (GGA-PBE) and CuKα.
Peak positions follow from Bragg's law for the DFT cell and can differ from measured ones.

Structural model:
abc: 7.473 7.473 7.473
angles: 117.84 117.84 93.79
Element x y z (fractional)
1 Rb 0.250 0.750 0.500
2 Rb 0.750 0.250 0.500
3 Ru 0.000 0.000 0.000
4 I 0.265 0.265 0.000
5 I 0.735 0.735 0.000
6 Cl 0.216 0.216 0.433
7 Cl 0.216 0.784 0.000
8 Cl 0.784 0.216 0.000
9 Cl 0.784 0.784 0.567

Peak list (10 most intense, 2θ from 15° to 90°, most intense first)
- d = 3.078 Å, 2θ = 29.01°, rel. 100
- d = 2.728 Å, 2θ = 32.83°, rel. 74
- d = 3.858 Å, 2θ = 23.05°, rel. 67
- d = 1.864 Å, 2θ = 48.86°, rel. 44
- d = 5.456 Å, 2θ = 16.25°, rel. 36
- d = 2.553 Å, 2θ = 35.15°, rel. 31
- d = 2.129 Å, 2θ = 42.45°, rel. 25
- d = 1.929 Å, 2θ = 47.11°, rel. 24
- d = 1.635 Å, 2θ = 56.28°, rel. 23
- d = 3.115 Å, 2θ = 28.66°, rel. 22

No. 4
Diffraction record for ReHg. The PXRD pattern is calculated, not measured: it uses DFT lattice parameters and positions (GGA-PBE) and CuKα.
Peak positions follow from Bragg's law for the DFT cell and can differ from measured ones.

Structural model:
abc: 2.988 2.988 8.533
angles: 90.00 90.00 90.00
Element x y z (fractional)
1 Re 0.250 0.250 0.085
2 Re 0.750 0.750 0.915
3 Hg 0.250 0.250 0.653
4 Hg 0.750 0.750 0.347

Peak list (10 most intense, 2θ from 15° to 90°, most intense first)
- d = 2.447 Å, 2θ = 36.72°, rel. 100
- d = 2.112 Å, 2θ = 42.81°, rel. 40
- d = 1.275 Å, 2θ = 74.41°, rel. 26
- d = 1.482 Å, 2θ = 62.70°, rel. 14
- d = 1.494 Å, 2θ = 62.14°, rel. 13
- d = 1.501 Å, 2θ = 61.81°, rel. 12
- d = 2.844 Å, 2θ = 31.45°, rel. 11
- d = 1.696 Å, 2θ = 54.08°, rel. 10
- d = 2.060 Å, 2θ = 43.95°, rel. 9
- d = 2.133 Å, 2θ = 42.37°, rel. 9

No. 5
Diffraction record for InPd5Pt4. The PXRD pattern is calculated, not measured: it uses DFT lattice parameters and positions (GGA-PBE) and CuKα.
Peak positions follow from Bragg's law for the DFT cell and can differ from measured ones.

Structural model:
abc: 8.252 9.189 4.730
angles: 90.00 90.00 90.00
Element x y z (fractional)
1 In 0.250 0.250 0.022
2 In 0.750 0.750 0.978
3 Pd 0.081 0.001 0.252
4 Pd 0.081 0.499 0.252
5 Pd 0.250 0.750 0.400
6 Pd 0.419 0.001 0.252
7 Pd 0.419 0.499 0.252
8 Pd 0.581 0.501 0.748
9 Pd 0.581 0.999 0.748
10 Pd 0.750 0.250 0.600
11 Pd 0.919 0.501 0.748
12 Pd 0.919 0.999 0.748
13 Pt 0.077 0.750 0.901
14 Pt 0.250 0.507 0.742
15 Pt 0.250 0.993 0.742
16 Pt 0.423 0.750 0.901
17 Pt 0.577 0.250 0.099
18 Pt 0.750 0.007 0.258
19 Pt 0.750 0.493 0.258
20 Pt 0.923 0.250 0.099

Peak list (10 most intense, 2θ from 15° to 90°, most intense first)
- d = 2.112 Å, 2θ = 42.82°, rel. 100
- d = 2.299 Å, 2θ = 39.19°, rel. 79
- d = 2.103 Å, 2θ = 43.02°, rel. 46
- d = 1.175 Å, 2θ = 81.98°, rel. 21
- d = 1.288 Å, 2θ = 73.56°, rel. 20
- d = 3.296 Å, 2θ = 27.06°, rel. 18
- d = 1.368 Å, 2θ = 68.61°, rel. 17
- d = 4.730 Å, 2θ = 18.76°, rel. 16
- d = 1.180 Å, 2θ = 81.60°, rel. 15
- d = 2.378 Å, 2θ = 37.84°, rel. 15